1.
ScCd3Pd4: theoretical XRD peak list (Cu Kα X-rays), based on DFT lattice parameters and positions (PBE).

Structural model:
```
16
Lattice="15.7633 0.0000 0.0000 0.0000 4.2907 0.0000 -1.1597 0.0000 4.1311" Properties=species:S:1:pos:R:3 pbc="T T T"
Sc 0.0000 0.0000 0.0000
Sc 7.8816 2.1454 0.0000
Cd -0.5799 2.1454 2.0655
Cd 3.0421 2.1454 3.0896
Cd 3.6798 0.0000 1.0415
Cd 7.3018 0.0000 2.0655
Cd 10.9238 0.0000 3.0896
Cd 11.5614 2.1454 1.0415
Pd 1.1997 0.0000 2.5680
Pd 1.7795 2.1454 0.5027
Pd 4.9424 0.0000 3.6284
Pd 5.5222 2.1454 1.5631
Pd 9.6612 0.0000 0.5027
Pd 9.0813 2.1454 2.5680
Pd 13.4038 0.0000 1.5631
Pd 12.8240 2.1454 3.6284
```

Peak list (10 most intense, 2θ = 10–80°, by angle)
2θ = 21.52°, I 3; 2θ = 31.76°, I 2; 2θ = 37.97°, I 100; 2θ = 42.12°, I 37; 2θ = 47.95°, I 12; 2θ = 61.09°, I 12; 2θ = 65.63°, I 5; 2θ = 65.73°, I 14; 2θ = 74.21°, I 20; 2θ = 74.28°, I 7

2.
CdSi2Pd4: theoretical XRD peak list (Cu Kα X-rays), based on DFT lattice parameters and positions (PBE).

Structural model:
```
28
Lattice="17.5074 0.0000 0.0000 0.0000 3.9832 0.0000 0.0000 0.0000 6.3034" Properties=species:S:1:pos:R:3 pbc="T T T"
Cd 2.3711 0.9958 0.0109
Cd 6.3826 2.9874 3.1626
Cd 11.1248 0.9958 3.1408
Cd 15.1363 2.9874 6.2925
Si 0.6905 2.9874 4.6847
Si 3.7415 0.9958 3.0211
Si 5.0122 2.9874 6.1729
Si 8.0632 0.9958 1.5330
Si 9.4442 2.9874 4.7705
Si 12.4952 0.9958 0.1306
Si 13.7659 2.9874 3.2823
Si 16.8169 0.9958 1.6188
Pd 0.5770 2.9874 0.8995
Pd 1.2747 0.9958 3.1537
Pd 3.1396 2.9874 4.4943
Pd 3.4394 2.9874 1.6443
Pd 5.3143 0.9958 4.7960
Pd 5.6141 0.9958 1.3426
Pd 7.4790 2.9874 0.0019
Pd 8.1767 0.9958 4.0512
Pd 9.3307 2.9874 2.2523
Pd 10.0284 0.9958 6.3015
Pd 11.8933 2.9874 4.9609
Pd 12.1931 2.9874 1.5075
Pd 14.0680 0.9958 4.6592
Pd 14.3678 0.9958 1.8092
Pd 16.2327 2.9874 3.1498
Pd 16.9304 0.9958 5.4040
```

Peak list (10 most intense, 2θ = 10–80°, by angle)
2θ = 30.34°, I 16; 2θ = 36.72°, I 11; 2θ = 37.04°, I 54; 2θ = 37.82°, I 100; 2θ = 38.24°, I 34; 2θ = 38.73°, I 22; 2θ = 45.55°, I 38; 2θ = 45.90°, I 14; 2θ = 70.02°, I 15; 2θ = 79.02°, I 12

3.
Cd3SiPd3: theoretical XRD peak list (Cu Kα X-rays), based on DFT lattice parameters and positions (PBE).

Structural model:
```
14
Lattice="4.6844 -3.8383 0.0000 4.6844 3.8383 0.0000 -0.2672 0.0000 7.0122" Properties=species:S:1:pos:R:3 pbc="T T T"
Cd 4.6844 2.4257 0.0000
Cd 4.5508 2.2002 3.5061
Cd 2.3914 0.0000 3.3256
Cd 6.7103 0.0000 3.6866
Cd 4.5508 -2.2002 3.5061
Cd 4.6844 -2.4257 0.0000
Si 2.6828 0.0000 0.2496
Si 6.4189 0.0000 6.7626
Pd 2.0248 1.6851 5.5427
Pd 2.0248 -1.6851 5.5427
Pd 4.4116 0.0000 5.4865
Pd 4.6901 0.0000 1.5257
Pd 7.0768 1.6851 1.4695
Pd 7.0768 -1.6851 1.4695
```

Peak list (10 most intense, 2θ = 10–80°, by angle)
2θ = 29.91°, I 24; 2θ = 32.48°, I 32; 2θ = 36.40°, I 37; 2θ = 38.47°, I 85; 2θ = 39.30°, I 93; 2θ = 39.70°, I 21; 2θ = 40.28°, I 100; 2θ = 41.16°, I 20; 2θ = 47.39°, I 27; 2θ = 62.61°, I 23

4.
CdSi2Pd7: theoretical XRD peak list (Cu Kα X-rays), based on DFT lattice parameters and positions (PBE).

Structural model:
```
10
Lattice="-2.0079 2.0079 9.8779 2.0079 -2.0079 9.8779 2.0079 2.0079 -9.8779" Properties=species:S:1:pos:R:3 pbc="T T T"
Cd 0.0000 0.0000 0.0000
Si 0.0000 0.0000 6.4399
Si 0.0000 0.0000 13.3160
Pd 2.0079 0.0000 2.0940
Pd 2.0079 0.0000 4.9390
Pd 2.0079 0.0000 7.7839
Pd 0.0000 0.0000 9.8779
Pd 0.0000 2.0079 2.0940
Pd 0.0000 2.0079 4.9390
Pd 0.0000 2.0079 7.7839
```

Peak list (10 most intense, 2θ = 10–80°, by angle)
2θ = 31.51°, I 25; 2θ = 32.82°, I 30; 2θ = 36.38°, I 26; 2θ = 36.50°, I 34; 2θ = 42.02°, I 100; 2θ = 45.16°, I 58; 2θ = 59.32°, I 24; 2θ = 65.77°, I 18; 2θ = 75.19°, I 19; 2θ = 77.59°, I 18

5.
Sr2CdSi3Pd4: theoretical XRD peak list (Cu Kα X-rays), based on DFT lattice parameters and positions (PBE).

Structural model:
```
10
Lattice="4.4485 0.0000 0.0000 0.0000 4.4485 0.0000 0.0000 0.0000 10.0547" Properties=species:S:1:pos:R:3 pbc="T T T"
Sr 0.0000 2.2242 2.4786
Sr 2.2242 0.0000 7.5761
Cd 0.0000 0.0000 5.0274
Si 0.0000 2.2242 8.9255
Si 2.2242 0.0000 1.1292
Si 2.2242 2.2242 5.0274
Pd 0.0000 0.0000 0.0000
Pd 0.0000 2.2242 6.5199
Pd 2.2242 0.0000 3.5348
Pd 2.2242 2.2242 0.0000
```

Peak list (10 most intense, 2θ = 10–80°, by angle)
2θ = 26.76°, I 17; 2θ = 33.48°, I 28; 2θ = 33.61°, I 100; 2θ = 40.56°, I 56; 2θ = 46.23°, I 20; 2θ = 49.76°, I 17; 2θ = 53.57°, I 14; 2θ = 58.70°, I 18; 2θ = 66.06°, I 14; 2θ = 69.36°, I 27

6.
Sm2Cd2Pd5: theoretical XRD peak list (Cu Kα X-rays), based on DFT lattice parameters and positions (PBE).

Structural model:
```
9
Lattice="8.7318 0.0000 0.0000 0.0000 2.2258 4.6938 0.0000 -2.2258 4.6938" Properties=species:S:1:pos:R:3 pbc="T T T"
Sm 1.8858 0.0000 0.0000
Sm 6.8460 0.0000 0.0000
Cd 0.0000 0.0000 2.9671
Cd 4.3659 0.0000 5.4132
Pd 1.3776 0.0000 6.4766
Pd 2.9182 0.0000 2.7899
Pd 4.3659 0.0000 8.1313
Pd 5.8136 0.0000 2.7899
Pd 7.3543 0.0000 6.4766
```

Peak list (10 most intense, 2θ = 10–80°, by angle)
2θ = 30.21°, I 35; 2θ = 35.05°, I 73; 2θ = 36.32°, I 29; 2θ = 36.58°, I 39; 2θ = 38.17°, I 100; 2θ = 40.53°, I 54; 2θ = 40.86°, I 40; 2θ = 43.79°, I 21; 2θ = 55.54°, I 17; 2θ = 61.19°, I 15

7.
Sm4CdPd12: theoretical XRD peak list (Cu Kα X-rays), based on DFT lattice parameters and positions (PBE).

Structural model:
```
17
Lattice="-4.3146 4.3146 4.3146 4.3146 -4.3146 4.3146 4.3146 4.3146 -4.3146" Properties=species:S:1:pos:R:3 pbc="T T T"
Sm 2.1573 2.1573 -2.1573
Sm 2.1573 -2.1573 2.1573
Sm -2.1573 2.1573 2.1573
Sm 2.1573 2.1573 2.1573
Cd 0.0000 0.0000 0.0000
Pd 2.6164 0.0000 0.0000
Pd 6.0127 0.0000 0.0000
Pd 4.3146 2.1573 0.0000
Pd 4.3146 0.0000 2.1573
Pd 0.0000 2.6164 0.0000
Pd 0.0000 0.0000 2.6164
Pd 2.1573 4.3146 0.0000
Pd 2.1573 0.0000 4.3146
Pd 0.0000 6.0127 0.0000
Pd 0.0000 0.0000 6.0127
Pd 0.0000 4.3146 2.1573
Pd 0.0000 2.1573 4.3146
```

Peak list (10 most intense, 2θ = 10–80°, by angle)
2θ = 29.27°, I 13; 2θ = 32.82°, I 7; 2θ = 36.06°, I 100; 2θ = 39.06°, I 13; 2θ = 41.88°, I 62; 2θ = 44.55°, I 9; 2θ = 49.55°, I 12; 2θ = 60.71°, I 34; 2θ = 72.68°, I 27; 2θ = 76.48°, I 9

8.
Sm6CdPd: theoretical XRD peak list (Cu Kα X-rays), based on DFT lattice parameters and positions (PBE).

Structural model:
```
16
Lattice="7.0347 0.0000 0.0000 0.0000 11.9947 0.0000 -3.0725 0.0000 6.0988" Properties=species:S:1:pos:R:3 pbc="T T T"
Sm 0.8249 2.4240 1.4954
Sm 0.8249 9.5707 1.4954
Sm -0.7212 0.0000 4.7091
Sm 1.1661 5.9974 1.3897
Sm -0.3800 3.5733 4.6034
Sm -0.3800 8.4214 4.6034
Sm 4.3422 3.5733 1.4954
Sm 4.3422 8.4214 1.4954
Sm 2.7961 5.9974 4.7091
Sm 4.6835 0.0000 1.3897
Sm 3.1374 2.4240 4.6034
Sm 3.1374 9.5707 4.6034
Cd -1.5362 5.9974 3.0494
Cd 1.9811 0.0000 3.0494
Pd 0.0000 0.0000 0.0000
Pd 3.5174 5.9974 0.0000
```

Peak list (10 most intense, 2θ = 10–80°, by angle)
2θ = 25.61°, I 25; 2θ = 26.94°, I 51; 2θ = 28.41°, I 32; 2θ = 29.29°, I 32; 2θ = 29.79°, I 38; 2θ = 30.30°, I 76; 2θ = 33.32°, I 100; 2θ = 43.01°, I 25; 2θ = 45.06°, I 37; 2θ = 46.24°, I 39

9.
Sm2CdPd3: theoretical XRD peak list (Cu Kα X-rays), based on DFT lattice parameters and positions (PBE).

Structural model:
```
24
Lattice="7.4801 0.0000 0.0000 0.0000 3.9156 0.0000 0.0000 0.0000 17.7211" Properties=species:S:1:pos:R:3 pbc="T T T"
Sm 0.7801 0.9789 3.7472
Sm 1.1460 0.9789 7.5859
Sm 2.5941 2.9367 16.4464
Sm 2.9600 2.9367 12.6078
Sm 4.5201 0.9789 5.1133
Sm 4.8860 0.9789 1.2747
Sm 6.3342 2.9367 10.1352
Sm 6.7001 2.9367 13.9739
Cd 0.1048 2.9367 1.1231
Cd 3.6352 0.9789 9.9836
Cd 3.8449 2.9367 7.7375
Cd 7.3753 0.9789 16.5980
Pd 0.6524 0.9789 11.6560
Pd 1.5538 0.9789 14.3601
Pd 1.6970 2.9367 9.8107
Pd 2.0431 0.9789 0.9502
Pd 2.1863 2.9367 5.4996
Pd 3.0877 2.9367 2.7955
Pd 4.3924 0.9789 14.9256
Pd 5.2939 0.9789 12.2215
Pd 5.4371 2.9367 16.7709
Pd 5.7832 0.9789 7.9103
Pd 5.9263 2.9367 3.3609
Pd 6.8278 2.9367 6.0651
```

Peak list (10 most intense, 2θ = 10–80°, by angle)
2θ = 32.79°, I 100; 2θ = 33.12°, I 59; 2θ = 34.12°, I 35; 2θ = 34.88°, I 23; 2θ = 36.23°, I 36; 2θ = 36.54°, I 62; 2θ = 37.49°, I 19; 2θ = 40.73°, I 30; 2θ = 41.56°, I 29; 2θ = 46.38°, I 42

10.
SmCd20Pd2: theoretical XRD peak list (Cu Kα X-rays), based on DFT lattice parameters and positions (PBE).

Structural model:
```
46
Lattice="0.0000 7.9325 7.9325 7.9325 0.0000 7.9325 7.9325 7.9325 0.0000" Properties=species:S:1:pos:R:3 pbc="T T T"
Sm 1.9831 1.9831 1.9831
Sm 13.8819 13.8819 13.8819
Cd 0.0000 0.0000 0.0000
Cd 3.9663 3.9663 0.0000
Cd 3.9663 0.0000 3.9663
Cd 5.1161 3.0063 3.0063
Cd 8.8925 6.7827 3.0063
Cd 8.8925 3.0063 6.7827
Cd 10.7489 6.9726 6.9726
Cd 12.8587 9.0824 6.9726
Cd 12.8587 6.9726 9.0824
Cd 5.9494 5.9494 3.7602
Cd 5.9494 3.7602 5.9494
Cd 8.1385 5.9494 5.9494
Cd 3.0063 5.1161 3.0063
Cd 6.7827 8.8925 3.0063
Cd 3.0063 3.0063 5.1161
Cd 8.8925 8.8925 5.1161
Cd 6.7827 3.0063 8.8925
Cd 8.8925 5.1161 8.8925
Cd 9.9157 9.9157 7.7265
Cd 9.9157 7.7265 9.9157
Cd 12.1048 9.9157 9.9157
Cd 0.0000 3.9663 3.9663
Cd 3.7602 5.9494 5.9494
Cd 5.9494 8.1385 5.9494
Cd 5.9494 5.9494 8.1385
Cd 6.9726 10.7489 6.9726
Cd 9.0824 12.8587 6.9726
Cd 6.9726 6.9726 10.7489
Cd 12.8587 12.8587 10.7489
Cd 9.0824 6.9726 12.8587
Cd 12.8587 10.7489 12.8587
Cd 7.7265 9.9157 9.9157
Cd 9.9157 12.1048 9.9157
Cd 9.9157 9.9157 12.1048
Cd 3.0063 8.8925 6.7827
Cd 3.0063 6.7827 8.8925
Cd 5.1161 8.8925 8.8925
Cd 6.9726 12.8587 9.0824
Cd 6.9726 9.0824 12.8587
Cd 10.7489 12.8587 12.8587
Pd 7.9325 3.9663 3.9663
Pd 3.9663 7.9325 3.9663
Pd 3.9663 3.9663 7.9325
Pd 7.9325 7.9325 7.9325
```

Peak list (10 most intense, 2θ = 10–80°, by angle)
2θ = 33.41°, I 100; 2θ = 35.80°, I 44; 2θ = 37.16°, I 84; 2θ = 37.61°, I 90; 2θ = 39.35°, I 27; 2θ = 40.61°, I 34; 2θ = 48.70°, I 24; 2θ = 60.66°, I 24; 2θ = 66.70°, I 54; 2θ = 69.90°, I 22

11.
SmTmCd2Pd4: theoretical XRD peak list (Cu Kα X-rays), based on DFT lattice parameters and positions (PBE).

Structural model:
```
8
Lattice="2.3982 1.3846 7.8910 -2.3982 1.3846 7.8910 0.0000 -2.7692 7.8910" Properties=species:S:1:pos:R:3 pbc="T T T"
Sm 0.0000 0.0000 0.0000
Tm 0.0000 0.0000 11.8365
Cd 0.0000 0.0000 5.9049
Cd 0.0000 0.0000 17.7681
Pd 0.0000 0.0000 2.9976
Pd 0.0000 0.0000 8.9605
Pd 0.0000 0.0000 14.7125
Pd 0.0000 0.0000 20.6754
```

Peak list (10 most intense, 2θ = 10–80°, by angle)
2θ = 22.69°, I 3; 2θ = 26.21°, I 3; 2θ = 37.31°, I 100; 2θ = 37.50°, I 99; 2θ = 44.23°, I 1; 2θ = 53.94°, I 34; 2θ = 67.16°, I 17; 2θ = 67.54°, I 34; 2θ = 67.67°, I 17; 2θ = 79.54°, I 10

12.
Cd2SnPd6: theoretical XRD peak list (Cu Kα X-rays), based on DFT lattice parameters and positions (PBE).

Structural model:
```
9
Lattice="3.0822 -6.8045 0.0000 3.0822 6.8045 0.0000 0.0000 0.0000 3.9403" Properties=species:S:1:pos:R:3 pbc="T T T"
Cd 3.0822 3.5933 0.0000
Cd 3.0822 -3.5933 0.0000
Sn 0.0000 0.0000 1.9702
Pd 1.6965 2.0398 1.9702
Pd 1.7659 0.0000 0.0000
Pd 1.6965 -2.0398 1.9702
Pd 4.4678 2.0398 1.9702
Pd 4.3984 0.0000 0.0000
Pd 4.4678 -2.0398 1.9702
```

Peak list (10 most intense, 2θ = 10–80°, by angle)
2θ = 33.45°, I 25; 2θ = 34.84°, I 55; 2θ = 37.03°, I 11; 2θ = 39.42°, I 100; 2θ = 45.92°, I 22; 2θ = 46.07°, I 28; 2θ = 46.18°, I 12; 2θ = 49.92°, I 16; 2θ = 70.27°, I 11; 2θ = 78.89°, I 13